For BiOF, the GGA-PBE geometry in the Materials Project gives the calculated powder X-ray diffraction pattern in this record (copper Kα).
Intensities are scaled so that the largest is 100.

Crystal structure
abc: 7.8707 9.1720 11.2679
angles: 90.00 90.00 90.00
Space group Fddd (No. 70, origin choice 2)
Asymmetric unit:
Bi (0.1250, 0.3266, 0.1250)
O (0.1250, 0.1250, 0.2573)
F (0.0000, 0.0000, 0.5000)

Peak list (10 most intense, 2θ from 10° to 90°, sorted by position)
2θ 16.80, I = 27, (1 1 1)
2θ 25.04, I = 89, (0 2 2)
2θ 27.65, I = 100, (2 0 2)
2θ 29.92, I = 45, (2 2 0)
2θ 31.77, I = 24, (0 0 4)
2θ 32.40, I = 30, (1 3 1)
2θ 39.70, I = 34, (1 3 3)
2θ 44.20, I = 47, (2 2 4)
2θ 53.20, I = 24, (4 2 2)
2θ 57.09, I = 26, (4 0 4)

=====

For Gd2AlNi2, the GGA-PBE geometry in the Materials Project gives the calculated powder X-ray diffraction pattern in this record (copper Kα).
Intensities are scaled so that the largest is 100.

Crystal structure
abc: 4.1698 5.4701 8.4874
angles: 90.00 90.00 90.00
Space group Immm (No. 71)
Asymmetric unit:
Gd (0.0000, 0.0000, 0.2056)
Al (0.0000, 0.5000, 0.0000)
Ni (0.0000, 0.2699, 0.5000)

Peak list (10 most intense, 2θ from 10° to 90°, sorted by position)
2θ 26.89, I = 71, (1 1 0)
2θ 34.32, I = 100, (1 1 2)
2θ 35.73, I = 28, (0 1 3)
2θ 38.45, I = 44, (1 0 3)
2θ 39.19, I = 49, (0 2 2)
2θ 40.87, I = 37, (1 2 1)
2θ 43.40, I = 30, (2 0 0)
2θ 54.96, I = 15, (1 3 0)
2θ 59.89, I = 27, (2 2 2)
2θ 68.89, I = 29, (1 2 5)